Theoretical powder X-ray diffraction pattern
Compound: Pm5NdAu4
Radiation: Cu Kα (weighted mean of Kα1 and Kα2)
Structure: DFT lattice parameters and positions (PBE)

Cell and atoms:
abc: 3.688 3.688 19.990
angles: 90.00 90.00 90.00
Sites, in units of the cell vectors:
Pm  0.000  0.000  0.000
Pm  0.000  0.000  0.186
Pm  0.000  0.000  0.369
Pm  0.000  0.000  0.631
Pm  0.000  0.000  0.814
Nd  0.500  0.500  0.500
Au  0.500  0.500  0.093
Au  0.500  0.500  0.280
Au  0.500  0.500  0.720
Au  0.500  0.500  0.907

Peak list (12 most intense, 2θ from 10° to 90°, by angle)
- 2θ 33.05, 2.711 Å, I 100.0, (1 0 5)
- 2θ 34.39, 2.608 Å, I 61.6, (1 1 0)
- 2θ 36.34, 2.472 Å, I 26.2, (1 0 6)
- 2θ 49.43, 1.844 Å, I 22.3, (2 0 0)
- 2θ 58.15, 1.586 Å, I 7.0, (1 1 10)
- 2θ 60.75, 1.525 Å, I 35.2, (2 1 5)
- 2θ 62.27, 1.491 Å, I 13.6, (1 1 11)
- 2θ 62.88, 1.478 Å, I 10.8, (2 1 6)
- 2θ 72.50, 1.304 Å, I 7.2, (2 2 0)
- 2θ 73.12, 1.294 Å, I 8.7, (2 0 11)
- 2θ 82.01, 1.175 Å, I 7.7, (3 0 5)
- 2θ 82.77, 1.166 Å, I 10.3, (3 1 0)

Theoretical powder X-ray diffraction pattern
Compound: ZrBRu3
Radiation: Cu Kα (weighted mean of Kα1 and Kα2)
Structure: DFT lattice parameters and positions (PBE)

Cell and atoms:
abc: 5.394 5.425 5.560
angles: 93.39 101.85 115.65
Sites, in units of the cell vectors:
Zr  0.000  0.000  0.000
Zr  0.417  0.365  0.551
B  0.157  0.643  0.584
B  0.732  0.090  0.614
Ru  0.373  0.814  0.318
Ru  0.454  0.971  0.864
Ru  0.512  0.504  0.049
Ru  0.831  0.312  0.318
Ru  0.907  0.846  0.466
Ru  0.964  0.479  0.865

Peak list (12 most intense, 2θ from 10° to 90°, by angle)
- 2θ 33.40, 2.682 Å, I 24.1, (0 0 2)
- 2θ 37.32, 2.410 Å, I 86.8, (-1 1 2)
- 2θ 37.64, 2.389 Å, I 22.8, (2 0 -1)
- 2θ 38.29, 2.350 Å, I 100.0, (2 0 0)
- 2θ 39.53, 2.280 Å, I 77.9, (2 -2 0)
- 2θ 39.97, 2.256 Å, I 28.5, (1 1 1)
- 2θ 40.42, 2.231 Å, I 29.4, (1 1 -2)
- 2θ 40.53, 2.226 Å, I 61.0, (1 -1 2)
- 2θ 43.67, 2.073 Å, I 27.1, (0 2 1)
- 2θ 44.25, 2.047 Å, I 26.6, (2 0 -2)
- 2θ 64.73, 1.440 Å, I 20.0, (2 2 -1)
- 2θ 78.95, 1.213 Å, I 15.8, (3 1 1)